Calculated X-ray powder pattern
Compound: SrPaNO
Radiation: Cu Kα (λ = 1.5418 Å)
Structure: a crystal structure in OQMD, relaxed with GGA-PBE
Lines closer than 0.1° are merged.

Principal peaks in the range 2θ from 10° to 90°, sorted by position:
17.21°, I = 21, (0 0 1); 24.89°, I = 20, (1 0 0); 30.42°, I = 100, (1 0 1); 34.83°, I = 26, (0 0 2); 35.48°, I = 50, (1 1 0); 50.57°, I = 36, (1 1 2); 51.06°, I = 17, (2 0 0); 59.73°, I = 16, (1 0 3); 60.60°, I = 31, (2 1 1); 63.29°, I = 18, (2 0 2)

Cell and atoms:
Unit cell a=3.5777 b=3.5777 c=5.1521 alpha=90.00 beta=90.00 gamma=90.00
Space group P4/mmm (No. 123)
Symmetry-distinct sites (fractional):
Sr 0.0000 0.0000 0.0000 x1
Pa 0.5000 0.5000 0.5000 x1
N 0.0000 0.0000 0.5000 x1
O 0.5000 0.5000 0.0000 x1

---

Calculated X-ray powder pattern
Compound: Sr2Pa2NO5
Radiation: Cu Kα (λ = 1.5418 Å)
Structure: a crystal structure in OQMD, relaxed with GGA-PBE
Lines closer than 0.1° are merged.

Principal peaks in the range 2θ from 10° to 90°, sorted by position:
19.79°, I = 16, (0 0 2); 20.13°, I = 30, (1 0 0); 28.38°, I = 100, (1 0 2); 28.62°, I = 48, (1 1 0); 40.21°, I = 14, (0 0 4); 40.92°, I = 28, (2 0 0); 50.09°, I = 23, (1 1 4); 50.54°, I = 42, (2 1 2); 58.71°, I = 18, (2 0 4); 81.21°, I = 12, (3 1 4)

Cell and atoms:
Unit cell a=4.4110 b=4.4110 c=8.9714 alpha=90.00 beta=90.00 gamma=90.00
Space group P4/mmm (No. 123)
Symmetry-distinct sites (fractional):
Sr 0.0000 0.0000 0.0000 x1
Sr 0.0000 0.0000 0.5000 x1
Pa 0.5000 0.5000 0.2477 x2
N 0.5000 0.5000 0.5000 x1
O 0.0000 0.5000 0.2183 x4
O 0.5000 0.5000 0.0000 x1

---

Calculated X-ray powder pattern
Compound: ZrPaNO
Radiation: Cu Kα (λ = 1.5418 Å)
Structure: a crystal structure in OQMD, relaxed with GGA-PBE
Lines closer than 0.1° are merged.

Principal peaks in the range 2θ from 10° to 90°, sorted by position:
18.70°, I = 18, (0 0 1); 26.08°, I = 18, (1 0 0); 32.29°, I = 100, (1 0 1); 37.21°, I = 50, (1 1 0); 37.92°, I = 24, (0 0 2); 53.65°, I = 17, (2 0 0); 54.18°, I = 33, (1 1 2); 64.01°, I = 30, (2 1 1); 64.97°, I = 14, (1 0 3); 67.57°, I = 17, (2 0 2)

Cell and atoms:
Unit cell a=3.4168 b=3.4168 c=4.7450 alpha=90.00 beta=90.00 gamma=90.00
Space group P4/mmm (No. 123)
Symmetry-distinct sites (fractional):
Zr 0.0000 0.0000 0.0000 x1
Pa 0.5000 0.5000 0.5000 x1
N 0.0000 0.0000 0.5000 x1
O 0.5000 0.5000 0.0000 x1

---

Calculated X-ray powder pattern
Compound: TaPbNO2
Radiation: Cu Kα (λ = 1.5418 Å)
Structure: a crystal structure in OQMD, relaxed with GGA-PBE
Lines closer than 0.1° are merged.

Principal peaks in the range 2θ from 10° to 90°, sorted by position:
31.07°, I = 100, (1 1 2); 31.74°, I = 48, (2 0 0); 43.52°, I = 14, (0 0 4); 45.51°, I = 23, (2 2 0); 54.86°, I = 21, (2 0 4); 56.13°, I = 41, (3 1 2); 64.79°, I = 16, (2 2 4); 72.13°, I = 10, (1 1 6); 75.40°, I = 9, (4 2 0); 89.56°, I = 12, (3 1 6)

Cell and atoms:
Unit cell a=5.6379 b=5.6379 c=8.3184 alpha=90.00 beta=90.00 gamma=90.00
Space group I4/mcm (No. 140)
Symmetry-distinct sites (fractional):
Ta 0.0000 0.0000 0.0000 x4
Pb 0.0000 0.5000 0.2500 x4
N 0.0000 0.0000 0.2500 x4
O 0.2081 0.2919 0.0000 x8

---

Calculated X-ray powder pattern
Compound: SbPdNO
Radiation: Cu Kα (λ = 1.5418 Å)
Structure: a crystal structure in OQMD, relaxed with GGA-PBE
Lines closer than 0.1° are merged.

Principal peaks in the range 2θ from 10° to 90°, sorted by position:
25.82°, I = 50, (1 1 1); 27.17°, I = 22, (1 2 0); 29.19°, I = 43, (2 0 0); 32.73°, I = 100, (1 2 1); 34.45°, I = 41, (2 0 1); 34.61°, I = 26, (0 3 0); 36.27°, I = 24, (0 0 2); 38.13°, I = 22, (0 1 2); 49.63°, I = 24, (2 3 1); 64.63°, I = 24, (1 5 1)

Cell and atoms:
Unit cell a=6.1188 b=7.7761 c=4.9542 alpha=90.00 beta=90.00 gamma=90.00
Space group Pca2_1 (No. 29)
Symmetry-distinct sites (fractional):
Sb 0.0561 0.1679 0.0000 x4
Pd 0.0652 0.5489 0.0998 x4
N 0.1383 0.6503 0.7309 x4
O 0.1309 0.0233 0.3416 x4

---

Calculated X-ray powder pattern
Compound: TbPdNO
Radiation: Cu Kα (λ = 1.5418 Å)
Structure: a crystal structure in OQMD, relaxed with GGA-PBE
Lines closer than 0.1° are merged.

Principal peaks in the range 2θ from 10° to 90°, sorted by position:
24.81°, I = 70, (0 0 2); 33.01°, I = 100, (1 1 1); 37.72°, I = 16, (0 0 3); 39.72°, I = 19, (1 1 2); 43.60°, I = 36, (2 0 0); 50.81°, I = 23, (2 1 1); 55.78°, I = 18, (2 1 2); 58.99°, I = 18, (2 0 3); 60.62°, I = 23, (1 1 4); 73.31°, I = 17, (3 1 1)

Cell and atoms:
Unit cell a=4.1522 b=4.1522 c=7.1545 alpha=90.00 beta=90.00 gamma=90.00
Space group P4/nmm (No. 129, origin choice 2)
Symmetry-distinct sites (fractional):
Tb 0.2500 0.2500 0.1335 x2
Pd 0.2500 0.7500 0.5000 x2
N 0.2500 0.2500 0.4478 x2
O 0.2500 0.7500 0.0000 x2

---

Calculated X-ray powder pattern
Compound: PmPrSmNO2
Radiation: Cu Kα (λ = 1.5418 Å)
Structure: a crystal structure in OQMD, relaxed with GGA-PBE
Lines closer than 0.1° are merged.

Principal peaks in the range 2θ from 10° to 90°, sorted by position:
30.70°, I = 32, (0 0 3); 30.83°, I = 95, (1 0 1); 35.71°, I = 100, (0 1 2); 51.31°, I = 34, (1 0 4); 51.48°, I = 34, (1 1 0); 60.99°, I = 14, (0 1 5); 61.17°, I = 43, (0 2 1); 64.23°, I = 17, (2 0 2); 86.43°, I = 15, (1 1 6); 86.70°, I = 15, (1 2 2)

Cell and atoms:
Unit cell a=3.5503 b=3.5503 c=8.7370 alpha=90.00 beta=90.00 gamma=120.00
Space group P3m1 (No. 156)
Symmetry-distinct sites (fractional):
Pm 0.0000 0.0000 0.0000 x1
Pr 0.3333 0.6667 0.6620 x1
Sm 0.6667 0.3333 0.3234 x1
N 0.3333 0.6667 0.1645 x1
O 0.0000 0.0000 0.4888 x1
O 0.6667 0.3333 0.8327 x1

---

Calculated X-ray powder pattern
Compound: RbPmNO
Radiation: Cu Kα (λ = 1.5418 Å)
Structure: a crystal structure in OQMD, relaxed with GGA-PBE
Lines closer than 0.1° are merged.

Principal peaks in the range 2θ from 10° to 90°, sorted by position:
22.68°, I = 57, (1 2 0); 28.46°, I = 100, (2 0 1); 34.28°, I = 23, (0 0 2); 39.73°, I = 12, (0 4 0); 39.90°, I = 25, (3 2 0); 41.49°, I = 17, (1 2 2); 49.62°, I = 18, (2 4 1); 53.46°, I = 10, (0 4 2); 53.60°, I = 21, (3 2 2); 57.88°, I = 14, (2 0 3)

Cell and atoms:
Unit cell a=7.8151 b=9.0759 c=5.2314 alpha=90.00 beta=90.00 gamma=90.00
Space group Pca2_1 (No. 29)
Symmetry-distinct sites (fractional):
Rb 0.1056 0.1115 0.0000 x4
Pm 0.0886 0.6167 0.0023 x4
N 0.1085 0.5854 0.5035 x4
O 0.0289 0.1751 0.4999 x4

---

Calculated X-ray powder pattern
Compound: PmTaN2O
Radiation: Cu Kα (λ = 1.5418 Å)
Structure: a crystal structure in OQMD, relaxed with GGA-PBE
Lines closer than 0.1° are merged.

Principal peaks in the range 2θ from 10° to 90°, sorted by position:
31.46°, I = 23, (2 0 0); 31.59°, I = 100, (2 2 -2); 31.95°, I = 25, (2 0 -4); 45.10°, I = 12, (0 4 0); 45.37°, I = 10, (0 0 4); 45.53°, I = 11, (4 0 -4); 56.03°, I = 17, (2 4 0); 56.34°, I = 11, (2 4 -4); 56.71°, I = 21, (4 2 -6); 74.73°, I = 10, (0 6 2)

Cell and atoms:
Unit cell a=7.9706 b=8.0406 c=11.2039 alpha=90.00 beta=134.47 gamma=90.00
Space group P2_1/c (No. 14)
Symmetry-distinct sites (fractional):
Pm 0.0430 0.2444 0.0216 x4
Pm 0.4545 0.7459 0.4775 x4
Ta 0.0157 0.0069 0.2617 x4
Ta 0.4914 0.5032 0.2369 x4
N 0.0191 0.7503 0.2194 x4
N 0.1914 0.5402 0.9998 x4
N 0.2975 0.0377 0.2969 x4
N 0.4753 0.2487 0.1978 x4
O 0.2054 0.5472 0.4992 x4
O 0.3085 0.0421 0.8096 x4

---

Calculated X-ray powder pattern
Compound: PmTaN2O
Radiation: Cu Kα (λ = 1.5418 Å)
Structure: a crystal structure in OQMD, relaxed with GGA-PBE
Lines closer than 0.1° are merged.

Principal peaks in the range 2θ from 10° to 90°, sorted by position:
31.38°, I = 32, (2 0 -2); 31.57°, I = 69, (0 2 2); 31.76°, I = 100, (2 2 0); 45.01°, I = 15, (0 0 4); 45.50°, I = 30, (0 4 0); 55.87°, I = 11, (-2 2 4); 56.21°, I = 11, (4 2 -2); 56.32°, I = 21, (2 -2 4); 56.55°, I = 14, (2 4 2); 56.71°, I = 14, (4 2 2)

Cell and atoms:
Unit cell a=7.9701 b=7.9768 c=8.0568 alpha=90.02 beta=90.71 gamma=90.09
Space group P-1 (No. 2)
Symmetry-distinct sites (fractional):
Pm 0.0139 0.2475 0.4720 x2
Pm 0.0257 0.2515 0.9874 x2
Pm 0.4672 0.7502 0.5126 x2
Pm 0.4851 0.7484 0.0212 x2
Ta 0.2403 0.0056 0.7443 x2
Ta 0.2480 0.0084 0.2414 x2
Ta 0.2532 0.4888 0.7465 x2
Ta 0.2603 0.4919 0.2565 x2
N 0.0003 0.0480 0.2123 x2
N 0.1893 0.2518 0.7170 x2
N 0.2089 0.5526 0.4979 x2
N 0.2228 0.9510 0.5011 x2
N 0.2740 0.4621 0.9971 x2
N 0.2919 0.2479 0.2978 x2
N 0.2947 0.0407 0.9990 x2
N 0.4999 0.4519 0.7144 x2
O 0.0009 0.5660 0.7817 x2
O 0.2112 0.7481 0.1912 x2
O 0.3180 0.7546 0.7799 x2
O 0.4980 0.9342 0.2827 x2

---

Calculated X-ray powder pattern
Compound: PmTaN2O
Radiation: Cu Kα (λ = 1.5418 Å)
Structure: a crystal structure in OQMD, relaxed with GGA-PBE
Lines closer than 0.1° are merged.

Principal peaks in the range 2θ from 10° to 90°, sorted by position:
31.29°, I = 51, (0 0 2); 31.81°, I = 100, (2 1 1); 44.83°, I = 25, (0 2 2); 46.36°, I = 11, (4 0 0); 56.01°, I = 42, (2 3 1); 56.99°, I = 21, (4 0 2); 66.46°, I = 14, (4 2 2); 74.21°, I = 4, (0 2 4); 74.44°, I = 9, (2 3 3); 76.70°, I = 8, (6 1 1)

Cell and atoms:
Unit cell a=7.8343 b=5.7248 c=5.7121 alpha=90.00 beta=90.00 gamma=90.00
Space group Pmc2_1 (No. 26)
Symmetry-distinct sites (fractional):
Pm 0.0000 0.2304 0.0000 x2
Pm 0.5000 0.2696 0.0026 x2
Ta 0.2500 0.2501 0.4972 x4
N 0.1952 0.0004 0.2652 x4
N 0.3048 0.4984 0.7673 x4
O 0.0000 0.3517 0.5209 x2
O 0.5000 0.1484 0.5193 x2